For BN, a cell relaxed with PBE gives the calculated powder diffraction line list in this record (a wavelength of 1.5418 Å).
Intensities are scaled so that the largest is 100.

Main lines, in order of rising 2θ (2θ from 10° to 90°):
| h k l | 2theta | d (Å) | I (rel.) |
| --- | --- | --- | --- |
| 1 0 1 | 27.68 | 3.223 | 100 |
| 2 0 0 | 36.84 | 2.440 | 39 |
| 0 1 1 | 40.67 | 2.218 | 64 |
| 1 1 1 | 44.88 | 2.020 | 8 |
| 2 1 1 | 56.02 | 1.641 | 11 |
| 1 1 2 | 59.00 | 1.566 | 17 |
| 3 0 1 | 60.90 | 1.521 | 23 |
| 0 2 0 | 73.02 | 1.296 | 10 |
| 0 1 3 | 75.98 | 1.252 | 15 |
| 3 1 2 | 83.36 | 1.159 | 23 |

Structure:
a b c (Å): 4.8801 2.5915 4.2920
angles (deg): 90.00 90.00 90.00
Space group Pnma (No. 62)
One atom of each set of equivalent atoms:
B  0.1596  0.2500  0.0929
N  0.1789  0.7500  0.8935